1.
Calculated PXRD pattern of Ho3Sc for λ = 1.5418 Å (Cu Kα), from a DFT-relaxed cell (PBE, Alexandria).
Peak positions follow from Bragg's law for the DFT cell and can differ from measured ones.

Crystal structure
```
Ho3Sc
1.0
3.538 0.000 0.000
0.000 10.982 0.000
0.000 0.000 6.104
Ho Sc
6 2
Direct
0.000 0.000 0.000
0.000 0.245 0.339
0.000 0.755 0.339
0.500 0.255 0.839
0.500 0.500 0.500
0.500 0.745 0.839
0.000 0.500 0.005
0.500 0.000 0.505
```

Largest 8 diffraction maxima, by angle, 2θ from 10° to 90°:
2θ/deg, intensity
29.21, 27
32.62, 23
33.54, 100
44.34, 17
51.84, 13
58.80, 20
62.60, 14
63.06, 10


2.
Calculated PXRD pattern of KTl3As for λ = 1.5418 Å (Cu Kα), from a DFT-relaxed cell (PBE, Alexandria).
Peak positions follow from Bragg's law for the DFT cell and can differ from measured ones.

Crystal structure
```
KTl3As
1.0
9.627 0.000 0.000
0.000 6.952 0.000
-7.647 0.000 9.800
K Tl As
4 12 4
Direct
0.214 0.161 0.195
0.214 0.339 0.695
0.786 0.661 0.305
0.786 0.839 0.805
0.003 0.636 0.137
0.003 0.864 0.637
0.294 0.668 0.076
0.294 0.832 0.576
0.473 0.740 0.411
0.473 0.760 0.911
0.527 0.240 0.089
0.527 0.260 0.589
0.706 0.168 0.424
0.706 0.332 0.924
0.997 0.136 0.363
0.997 0.364 0.863
0.195 0.009 0.911
0.195 0.491 0.411
0.805 0.509 0.589
0.805 0.991 0.089
```

Largest 8 diffraction maxima, by angle, 2θ from 10° to 90°:
2θ/deg, intensity
17.30, 49
19.16, 31
27.22, 47
30.01, 86
30.89, 100
31.55, 97
31.92, 41
40.34, 33


3.
Calculated PXRD pattern of AgH6Pt4 for λ = 1.5418 Å (Cu Kα), from a DFT-relaxed cell (PBE, Alexandria).
Peak positions follow from Bragg's law for the DFT cell and can differ from measured ones.

Crystal structure
```
AgH6Pt4
1.0
4.921 0.000 0.000
1.263 4.826 0.000
2.180 1.290 4.755
Ag H Pt
1 6 4
Direct
0.000 0.000 0.000
0.106 0.385 0.121
0.286 0.606 0.685
0.374 0.584 0.228
0.415 0.135 0.822
0.704 0.674 0.333
0.775 0.230 0.428
0.354 0.863 0.383
0.478 0.406 0.939
0.714 0.916 0.673
0.992 0.434 0.461
```

Largest 8 diffraction maxima, by angle, 2θ from 10° to 90°:
2θ/deg, intensity
22.03, 53
34.06, 22
36.04, 27
36.30, 67
37.31, 31
37.68, 42
38.65, 100
42.84, 20


4.
Calculated PXRD pattern of La6TbTe8 for λ = 1.5418 Å (Cu Kα), from a DFT-relaxed cell (PBE, Alexandria).
Peak positions follow from Bragg's law for the DFT cell and can differ from measured ones.

Crystal structure
```
La6TbTe8
1.0
0.000 6.449 6.449
6.449 0.000 6.449
6.449 6.449 0.000
La Tb Te
6 1 8
Direct
0.000 0.000 0.500
0.000 0.500 0.000
0.000 0.500 0.500
0.500 0.000 0.000
0.500 0.000 0.500
0.500 0.500 0.000
0.000 0.000 0.000
0.246 0.246 0.754
0.246 0.754 0.246
0.246 0.754 0.754
0.250 0.250 0.250
0.750 0.750 0.750
0.754 0.246 0.246
0.754 0.246 0.754
0.754 0.754 0.246
```

Largest 8 diffraction maxima, by angle, 2θ from 10° to 90°:
2θ/deg, intensity
11.89, 8
27.67, 100
39.53, 77
48.93, 28
57.14, 13
64.64, 35
71.70, 26
85.11, 8


5.
Calculated PXRD pattern of Th5FeBi3 for λ = 1.5418 Å (Cu Kα), from a DFT-relaxed cell (PBE, Alexandria).
Peak positions follow from Bragg's law for the DFT cell and can differ from measured ones.

Crystal structure
```
Th5FeBi3
1.0
9.671 0.000 0.000
-4.835 8.375 0.000
0.000 0.000 6.490
Th Fe Bi
10 2 6
Direct
0.000 0.234 0.250
0.000 0.766 0.750
0.234 0.000 0.250
0.234 0.234 0.750
0.333 0.667 0.000
0.333 0.667 0.500
0.667 0.333 0.000
0.667 0.333 0.500
0.766 0.000 0.750
0.766 0.766 0.250
0.000 0.000 0.000
0.000 0.000 0.500
0.000 0.397 0.750
0.000 0.603 0.250
0.397 0.000 0.750
0.397 0.397 0.250
0.603 0.000 0.250
0.603 0.603 0.750
```

Largest 8 diffraction maxima, by angle, 2θ from 10° to 90°:
2θ/deg, intensity
28.19, 25
31.44, 100
32.06, 39
33.25, 70
46.86, 20
51.14, 26
62.39, 20
64.55, 13


6.
Calculated PXRD pattern of Na3PdI6 for λ = 1.5418 Å (Cu Kα), from a DFT-relaxed cell (PBE, Alexandria).
Peak positions follow from Bragg's law for the DFT cell and can differ from measured ones.

Crystal structure
```
Na3PdI6
1.0
7.636 0.000 0.000
0.000 7.979 0.000
-6.304 0.000 11.693
Na Pd I
6 2 12
Direct
0.000 0.000 0.000
0.000 0.500 0.500
0.292 0.109 0.765
0.292 0.391 0.265
0.708 0.609 0.735
0.708 0.891 0.235
0.500 0.000 0.500
0.500 0.500 0.000
0.134 0.019 0.267
0.134 0.481 0.767
0.294 0.673 0.085
0.294 0.827 0.585
0.396 0.207 0.060
0.396 0.293 0.560
0.604 0.707 0.440
0.604 0.793 0.940
0.706 0.173 0.415
0.706 0.327 0.915
0.866 0.519 0.233
0.866 0.981 0.733
```

Largest 8 diffraction maxima, by angle, 2θ from 10° to 90°:
2θ/deg, intensity
13.43, 37
16.12, 46
24.47, 100
25.99, 74
26.75, 42
26.88, 54
27.06, 38
37.27, 38


7.
Calculated PXRD pattern of Rb2Ce2S5 for λ = 1.5418 Å (Cu Kα), from a DFT-relaxed cell (PBE, Alexandria).
Peak positions follow from Bragg's law for the DFT cell and can differ from measured ones.

Crystal structure
```
Rb2Ce2S5
1.0
8.063 -3.885 0.000
8.063 3.885 0.000
0.000 0.000 7.778
Rb Ce S
4 4 10
Direct
0.206 0.206 0.000
0.294 0.294 0.500
0.706 0.706 0.500
0.794 0.794 0.000
0.166 0.834 0.666
0.334 0.666 0.166
0.666 0.334 0.834
0.834 0.166 0.334
0.000 0.000 0.000
0.036 0.750 0.357
0.250 0.536 0.857
0.250 0.964 0.357
0.464 0.750 0.857
0.500 0.500 0.500
0.536 0.250 0.143
0.750 0.036 0.643
0.750 0.464 0.143
0.964 0.250 0.643
```

Largest 8 diffraction maxima, by angle, 2θ from 10° to 90°:
2θ/deg, intensity
10.97, 100
25.44, 97
30.62, 58
34.06, 61
36.99, 84
38.05, 47
42.53, 41
46.44, 42